No. 1
For Cu2GeTeSe2, a structure optimized by DFT (GGA-PBE) gives the theoretical XRD peak list in this record (λ = 1.5418 Å (Cu Kα)).
Kinematic intensities with the Lorentz-polarization factor, no thermal factor.

Most intense lines, 2θ from 10° to 90°, most intense first:
2θ 26.54, I = 100; 2θ 26.93, I = 92; 2θ 44.33, I = 89; 2θ 52.30, I = 41; 2θ 52.95, I = 28; 2θ 43.93, I = 24; 2θ 44.94, I = 22; 2θ 81.05, I = 14

Crystal structure
Cell: 4.122 12.103 5.792 Å, 90.00 90.00 90.00°
Sites, in units of the cell vectors:
Cu 0.000 0.176 0.000
Cu 0.000 0.824 0.000
Cu 0.500 0.324 0.500
Cu 0.500 0.676 0.500
Ge 0.000 0.500 0.059
Ge 0.500 0.000 0.559
Te 0.000 0.000 0.257
Te 0.500 0.500 0.757
Se 0.000 0.328 0.275
Se 0.000 0.672 0.275
Se 0.500 0.172 0.775
Se 0.500 0.828 0.775

No. 2
For Cu2GeTe2Se, a structure optimized by DFT (GGA-PBE) gives the theoretical XRD peak list in this record (λ = 1.5418 Å (Cu Kα)).
Kinematic intensities with the Lorentz-polarization factor, no thermal factor.

Most intense lines, 2θ from 10° to 90°, most intense first:
2θ 26.30, I = 100; 2θ 25.83, I = 97; 2θ 43.47, I = 93; 2θ 50.32, I = 33; 2θ 51.12, I = 28; 2θ 42.10, I = 26; 2θ 43.31, I = 23; 2θ 51.93, I = 16

Crystal structure
Cell: 4.293 12.534 5.792 Å, 90.00 90.00 90.00°
Sites, in units of the cell vectors:
Cu 0.000 0.160 0.000
Cu 0.000 0.840 0.000
Cu 0.500 0.340 0.500
Cu 0.500 0.660 0.500
Ge 0.000 0.500 0.985
Ge 0.500 0.000 0.485
Te 0.000 0.329 0.256
Te 0.000 0.671 0.256
Te 0.500 0.171 0.756
Te 0.500 0.829 0.756
Se 0.000 0.000 0.239
Se 0.500 0.500 0.739

No. 3
For Cu2Si3Ge2, a structure optimized by DFT (GGA-PBE) gives the theoretical XRD peak list in this record (λ = 1.5418 Å (Cu Kα)).
Kinematic intensities with the Lorentz-polarization factor, no thermal factor.

Most intense lines, 2θ from 10° to 90°, most intense first:
2θ 47.87, I = 100; 2θ 35.90, I = 96; 2θ 30.22, I = 71; 2θ 31.86, I = 51; 2θ 46.19, I = 42; 2θ 43.40, I = 27; 2θ 61.25, I = 19; 2θ 38.23, I = 17

Crystal structure
Cell: 9.247 9.247 9.247 Å, 23.72 23.72 23.72°
Sites, in units of the cell vectors:
Cu 0.000 0.000 0.000
Cu 0.469 0.469 0.469
Si 0.373 0.373 0.373
Si 0.622 0.622 0.622
Si 0.909 0.909 0.909
Ge 0.185 0.185 0.185
Ge 0.761 0.761 0.761

No. 4
For Sr2CuSi2Ge, a structure optimized by DFT (GGA-PBE) gives the theoretical XRD peak list in this record (λ = 1.5418 Å (Cu Kα)).
Kinematic intensities with the Lorentz-polarization factor, no thermal factor.

Most intense lines, 2θ from 10° to 90°, most intense first:
2θ 31.36, I = 100; 2θ 43.44, I = 37; 2θ 59.53, I = 28; 2θ 54.54, I = 20; 2θ 38.65, I = 17; 2θ 72.17, I = 17; 2θ 65.42, I = 12; 2θ 81.83, I = 7

Crystal structure
Cell: 8.589 8.333 6.251 Å, 70.52 66.15 43.32°
Sites, in units of the cell vectors:
Sr 0.243 0.757 0.243
Sr 0.250 0.250 0.250
Sr 0.750 0.750 0.750
Sr 0.757 0.243 0.757
Cu 0.337 0.337 0.663
Cu 0.663 0.663 0.337
Si 0.175 0.661 0.825
Si 0.339 0.825 0.661
Si 0.661 0.175 0.339
Si 0.825 0.339 0.175
Ge 0.167 0.167 0.833
Ge 0.833 0.833 0.167

No. 5
For Sr2CuSiGe2, a structure optimized by DFT (GGA-PBE) gives the theoretical XRD peak list in this record (λ = 1.5418 Å (Cu Kα)).
Kinematic intensities with the Lorentz-polarization factor, no thermal factor.

Most intense lines, 2θ from 10° to 90°, most intense first:
2θ 31.18, I = 100; 2θ 43.00, I = 40; 2θ 59.22, I = 30; 2θ 54.07, I = 20; 2θ 38.70, I = 18; 2θ 71.45, I = 17; 2θ 65.40, I = 11; 2θ 78.81, I = 7

Crystal structure
Cell: 8.649 8.416 6.271 Å, 70.43 66.47 43.09°
Sites, in units of the cell vectors:
Sr 0.243 0.757 0.243
Sr 0.250 0.250 0.250
Sr 0.750 0.750 0.750
Sr 0.757 0.243 0.757
Cu 0.330 0.330 0.670
Cu 0.670 0.670 0.330
Si 0.170 0.170 0.830
Si 0.830 0.830 0.170
Ge 0.167 0.661 0.833
Ge 0.339 0.833 0.661
Ge 0.661 0.167 0.339
Ge 0.833 0.339 0.167

No. 6
For Tb3Cu4Si2Ge2, a structure optimized by DFT (GGA-PBE) gives the theoretical XRD peak list in this record (λ = 1.5418 Å (Cu Kα)).
Kinematic intensities with the Lorentz-polarization factor, no thermal factor.

Most intense lines, 2θ from 10° to 90°, most intense first:
2θ 35.09, I = 100; 2θ 36.21, I = 93; 2θ 43.05, I = 31; 2θ 45.54, I = 21; 2θ 39.76, I = 19; 2θ 26.94, I = 17; 2θ 22.10, I = 15; 2θ 64.46, I = 15

Crystal structure
Cell: 7.971 7.971 7.971 Å, 149.43 130.93 58.92°
Sites, in units of the cell vectors:
Tb 0.000 0.000 0.000
Tb 0.370 0.870 0.500
Tb 0.630 0.130 0.500
Cu 0.027 0.337 0.690
Cu 0.354 0.663 0.690
Cu 0.646 0.337 0.310
Cu 0.973 0.663 0.310
Si 0.317 0.500 0.817
Si 0.683 0.500 0.183
Ge 0.216 0.216 0.000
Ge 0.784 0.784 0.000